Structure and calculated X-ray powder pattern of Na4YZnP3O12 (a crystal structure in the Materials Project, relaxed with PBE; Cu Kα (λ = 1.5418 Å)).
Lines closer than 0.1° are merged.

Cell and atoms:
```
data_Na4YZnP3O12
_space_group_name_H-M_alt 'R 3 c'
_space_group_IT_number 161
_space_group_name_Hall 'R 3 -2"c'
_cell_length_a 9.2991
_cell_length_b 9.2991
_cell_length_c 22.6226
_cell_angle_alpha 90.00
_cell_angle_beta 90.00
_cell_angle_gamma 120.00
loop_
_atom_site_label
_atom_site_type_symbol
_atom_site_fract_x
_atom_site_fract_y
_atom_site_fract_z
Na1 Na 0.0000 0.0000 0.0000
Na2 Na 0.0412 0.3460 0.0870
Y1 Y 0.0000 0.0000 0.1584
Zn1 Zn 0.0000 0.0000 0.3507
P1 P 0.0356 0.3627 0.9254
O1 O 0.0187 0.1882 0.9208
O2 O 0.0211 0.2188 0.2026
O3 O 0.1434 0.4497 0.9806
O4 O 0.1512 0.4743 0.2617
```

Largest 8 diffraction maxima, by intensity, 10° ≤ 2θ ≤ 90°:
- 30.5 deg, d 2.929, I = 100, hkl 1 1 6
- 19.1 deg, d 4.637, I = 68, hkl 1 0 4
- 33.4 deg, d 2.684, I = 62, hkl 3 0 0
- 45.9 deg, d 1.979, I = 40, hkl 2 2 6
- 22.5 deg, d 3.958, I = 27, hkl 1 1 3
- 57.9 deg, d 1.593, I = 26, hkl 4 1 6
- 52.0 deg, d 1.757, I = 20, hkl 4 1 0
- 27.2 deg, d 3.280, I = 18, hkl 0 2 4